[1]
The following is a theoretical X-ray powder pattern of Ho3FeSi3. It was derived from a structure optimized by DFT (GGA-PBE), using Cu Kα (weighted mean of Kα1 and Kα2).
Neutral-atom scattering factors, no anomalous dispersion.

Principal peaks in the range 15° ≤ 2θ ≤ 90°, in order of rising 2θ:
| 2θ/deg | I_rel |
| --- | --- |
| 23.35 | 59 |
| 26.94 | 28 |
| 27.75 | 46 |
| 33.76 | 59 |
| 33.98 | 100 |
| 34.39 | 93 |
| 38.63 | 23 |
| 41.80 | 28 |
| 43.71 | 40 |
| 52.58 | 21 |

Structure:
```
Ho3FeSi3
1.0
5.2215 -2.0710 0.0000
5.2215 2.0710 0.0000
-4.8491 0.0000 12.5280
Ho Fe Si
6 2 6
direct
0.0236 0.0236 0.3794
0.1019 0.1019 0.9195
0.2478 0.2478 0.2300
0.7522 0.7522 0.7700
0.8981 0.8981 0.0805
0.9764 0.9764 0.6206
0.2534 0.2534 0.5847
0.7466 0.7466 0.4153
0.3558 0.3558 0.4566
0.3866 0.3866 0.9244
0.4459 0.4459 0.7582
0.5541 0.5541 0.2418
0.6134 0.6134 0.0756
0.6442 0.6442 0.5434
```

***

[2]
The following is a theoretical X-ray powder pattern of KLaHfS4. It was derived from a structure optimized by DFT (GGA-PBE), using Cu Kα (weighted mean of Kα1 and Kα2).
Neutral-atom scattering factors, no anomalous dispersion.

Principal peaks in the range 15° ≤ 2θ ≤ 90°, in order of rising 2θ:
| 2θ/deg | I_rel |
| --- | --- |
| 16.76 | 100 |
| 19.56 | 25 |
| 24.75 | 29 |
| 25.15 | 49 |
| 25.86 | 38 |
| 28.01 | 56 |
| 30.74 | 52 |
| 31.74 | 44 |
| 37.20 | 49 |
| 41.39 | 21 |

Structure:
```
KLaHfS4
1.0
7.2097 0.0000 0.0000
0.0000 6.8908 0.0000
-2.9783 0.0000 8.2547
K La Hf S
2 2 2 8
direct
0.2280 0.0000 0.4371
0.7720 0.5000 0.5629
0.2978 0.9912 0.9421
0.7022 0.4912 0.0579
0.2283 0.4992 0.1656
0.7717 0.9992 0.8344
0.0068 0.6668 0.9266
0.0642 0.5454 0.3528
0.4870 0.7421 0.2170
0.4881 0.2491 0.2042
0.5119 0.7491 0.7958
0.5130 0.2421 0.7830
0.9358 0.0454 0.6472
0.9932 0.1668 0.0734
```

***

[3]
The following is a theoretical X-ray powder pattern of NdPS4. It was derived from a structure optimized by DFT (GGA-PBE), using Cu Kα (weighted mean of Kα1 and Kα2).
Neutral-atom scattering factors, no anomalous dispersion.

Principal peaks in the range 15° ≤ 2θ ≤ 90°, in order of rising 2θ:
| 2θ/deg | I_rel |
| --- | --- |
| 16.16 | 100 |
| 24.53 | 65 |
| 29.51 | 54 |
| 32.66 | 19 |
| 36.65 | 37 |
| 37.71 | 45 |
| 40.74 | 24 |
| 41.26 | 55 |
| 53.16 | 16 |
| 56.36 | 18 |

Structure:
```
NdPS4
1.0
-5.4833 5.4833 9.6837
5.4833 -5.4833 9.6837
5.4833 5.4833 -9.6837
Nd P S
8 8 32
direct
0.1250 0.3750 0.7500
0.1250 0.8750 0.2500
0.3750 0.1250 0.2500
0.3750 0.6250 0.7500
0.6250 0.3750 0.2500
0.6250 0.8750 0.7500
0.8750 0.1250 0.7500
0.8750 0.6250 0.2500
0.2127 0.2500 0.4627
0.2500 0.2873 0.0373
0.2500 0.7873 0.5373
0.2873 0.7500 0.0373
0.7127 0.2500 0.9627
0.7500 0.2127 0.4627
0.7500 0.7127 0.9627
0.7873 0.7500 0.5373
0.0901 0.8853 0.4787
0.0934 0.3885 0.9787
0.0951 0.6641 0.9345
0.1115 0.4066 0.5213
0.1147 0.0934 0.2048
0.1607 0.0951 0.9310
0.1641 0.5951 0.4345
0.2296 0.1607 0.5655
0.2704 0.8359 0.9310
0.3359 0.7704 0.4310
0.3393 0.2704 0.9345
0.3853 0.5901 0.9787
0.3885 0.9099 0.2952
0.4049 0.3393 0.5690
0.4066 0.3853 0.2952
0.4099 0.8885 0.7952
0.5901 0.1115 0.2048
0.5934 0.6147 0.7048
0.5951 0.6607 0.4310
0.6115 0.0901 0.7048
0.6147 0.4099 0.0213
0.6607 0.7296 0.0655
0.6641 0.2296 0.5690
0.7296 0.1641 0.0690
0.7704 0.8393 0.4345
0.8359 0.4049 0.5655
0.8393 0.9049 0.0690
0.8853 0.9066 0.7952
0.8885 0.5934 0.4787
0.9049 0.3359 0.0655
0.9066 0.6115 0.0213
0.9099 0.1147 0.5213
```

***

- What is the formula in the third record?
  NdPS4